[1]
Calculated PXRD pattern of Fe5Co3 for Cu Kα X-rays, from a PBE-relaxed structure.
Neutral-atom scattering factors, no anomalous dispersion.

Most intense lines, 10° ≤ 2θ ≤ 90°, in order of rising 2θ:
(hkl), d/Å, 2theta, I (rel.)
1 1 2, 2.013, 45.0, 1000
2 0 0, 2.008, 45.2, 496
0 0 4, 1.428, 65.4, 74
2 2 0, 1.420, 65.8, 146
2 0 4, 1.164, 83.0, 143
3 1 2, 1.160, 83.3, 285

Cell and atoms:
```
data_Fe5Co3
_chemical_formula_sum 'Fe5 Co3'
_cell_length_a 4.015
_cell_length_b 4.015
_cell_length_c 5.712
_cell_angle_alpha 90.00
_cell_angle_beta 90.00
_cell_angle_gamma 90.00
_symmetry_space_group_name_H-M 'P -4 m 2'
_symmetry_Int_Tables_number 115
_symmetry_space_group_name_Hall 'P -4 -2'
loop_
_atom_site_label
_atom_site_type_symbol
_atom_site_fract_x
_atom_site_fract_y
_atom_site_fract_z
_atom_site_occupancy
Fe1 Fe 0.000 0.000 0.000 1
Fe2 Fe 0.000 0.000 0.500 1
Fe3 Fe 0.000 0.500 0.244 1
Fe4 Fe 0.500 0.500 0.500 1
Co1 Co 0.000 0.500 0.746 1
Co2 Co 0.500 0.500 0.000 1
```



[2]
Calculated PXRD pattern of Fe5Co3 for Cu Kα X-rays, from a PBE-relaxed structure.
Neutral-atom scattering factors, no anomalous dispersion.

Most intense lines, 10° ≤ 2θ ≤ 90°, in order of rising 2θ:
(hkl), d/Å, 2theta, I (rel.)
1 1 4, 2.015, 45.0, 1000
2 0 0, 1.426, 65.5, 49
0 2 8, 1.424, 65.6, 98
2 2 0, 1.163, 83.0, 286

Cell and atoms:
```
data_Fe5Co3
_chemical_formula_sum 'Fe10 Co6'
_cell_length_a 2.852
_cell_length_b 4.027
_cell_length_c 16.109
_cell_angle_alpha 90.00
_cell_angle_beta 90.00
_cell_angle_gamma 90.00
_symmetry_space_group_name_H-M 'I m m m'
_symmetry_Int_Tables_number 71
_symmetry_space_group_name_Hall '-I 2 2'
loop_
_atom_site_label
_atom_site_type_symbol
_atom_site_fract_x
_atom_site_fract_y
_atom_site_fract_z
_atom_site_occupancy
Fe1 Fe 0.000 0.000 0.000 1
Fe2 Fe 0.000 0.000 0.249 1
Fe3 Fe 0.000 0.500 0.125 1
Co1 Co 0.000 0.000 0.500 1
Co2 Co 0.000 0.500 0.376 1
```



[3]
Calculated PXRD pattern of FeCo for Cu Kα X-rays, from a PBE-relaxed structure.
Neutral-atom scattering factors, no anomalous dispersion.

Most intense lines, 10° ≤ 2θ ≤ 90°, in order of rising 2θ:
(hkl), d/Å, 2theta, I (rel.)
1 2 0, 2.007, 45.2, 1000
0 4 0, 2.003, 45.3, 993
1 0 2, 1.421, 65.7, 98
1 4 -2, 1.416, 66.0, 194
2 0 0, 1.161, 83.2, 48
1 4 2, 1.159, 83.4, 191
1 6 0, 1.157, 83.5, 143
0 6 2, 1.156, 83.6, 190

Cell and atoms:
```
data_FeCo
_chemical_formula_sum 'Fe4 Co4'
_cell_length_a 2.461
_cell_length_b 8.005
_cell_length_c 4.908
_cell_angle_alpha 90.00
_cell_angle_beta 109.32
_cell_angle_gamma 90.00
_symmetry_space_group_name_H-M 'P 1 2/c 1'
_symmetry_Int_Tables_number 13
_symmetry_space_group_name_Hall '-P 2yc'
loop_
_atom_site_label
_atom_site_type_symbol
_atom_site_fract_x
_atom_site_fract_y
_atom_site_fract_z
_atom_site_occupancy
Fe1 Fe 0.000 0.000 0.000 1
Fe2 Fe 0.500 0.252 0.250 1
Co1 Co 0.000 0.500 0.000 1
Co2 Co 0.500 0.250 0.750 1
```



[4]
Calculated PXRD pattern of Fe5Co3 for Cu Kα X-rays, from a PBE-relaxed structure.
Neutral-atom scattering factors, no anomalous dispersion.

Most intense lines, 10° ≤ 2θ ≤ 90°, in order of rising 2θ:
(hkl), d/Å, 2theta, I (rel.)
1 0 4, 2.012, 45.1, 1000
1 1 0, 1.997, 45.4, 488
0 0 8, 1.433, 65.1, 75
2 0 0, 1.412, 66.2, 143
1 1 8, 1.164, 82.9, 144
2 1 4, 1.156, 83.7, 282

Cell and atoms:
```
data_Fe5Co3
_chemical_formula_sum 'Fe5 Co3'
_cell_length_a 2.823
_cell_length_b 2.823
_cell_length_c 11.467
_cell_angle_alpha 90.00
_cell_angle_beta 90.00
_cell_angle_gamma 90.00
_symmetry_space_group_name_H-M 'P 4/m m m'
_symmetry_Int_Tables_number 123
_symmetry_space_group_name_Hall '-P 4 2'
loop_
_atom_site_label
_atom_site_type_symbol
_atom_site_fract_x
_atom_site_fract_y
_atom_site_fract_z
_atom_site_occupancy
Fe1 Fe 0.000 0.000 0.000 1
Fe2 Fe 0.000 0.000 0.252 1
Fe3 Fe 0.500 0.500 0.126 1
Co1 Co 0.000 0.000 0.500 1
Co2 Co 0.500 0.500 0.375 1
```



[5]
Calculated PXRD pattern of Fe5Co3 for Cu Kα X-rays, from a PBE-relaxed structure.
Neutral-atom scattering factors, no anomalous dispersion.

Most intense lines, 10° ≤ 2θ ≤ 90°, in order of rising 2θ:
(hkl), d/Å, 2theta, I (rel.)
0 1 8, 2.016, 45.0, 1000
1 1 0, 2.009, 45.1, 989
2 0 8, 1.423, 65.6, 292
1 0 16, 1.165, 82.8, 143
1 2 8, 1.161, 83.2, 284
3 0 0, 1.160, 83.3, 142

Cell and atoms:
```
data_Fe5Co3
_chemical_formula_sum 'Fe15 Co9'
_cell_length_a 4.0186
_cell_length_b 4.0186
_cell_length_c 19.7886
_cell_angle_alpha 90.00
_cell_angle_beta 90.00
_cell_angle_gamma 120.00
_symmetry_space_group_name_H-M 'R -3 m'
_symmetry_Int_Tables_number 166
_symmetry_space_group_name_Hall '-R 3 2"'
loop_
_atom_site_label
_atom_site_type_symbol
_atom_site_fract_x
_atom_site_fract_y
_atom_site_fract_z
_atom_site_occupancy
Fe1 Fe 0.0000 0.0000 0.0000 1
Fe2 Fe 0.0000 0.0000 0.1254 1
Fe3 Fe 0.0000 0.0000 0.2508 1
Co1 Co 0.0000 0.0000 0.3747 1
Co2 Co 0.0000 0.0000 0.5000 1
```



[6]
Calculated PXRD pattern of Fe5Co3 for Cu Kα X-rays, from a PBE-relaxed structure.
Neutral-atom scattering factors, no anomalous dispersion.

Most intense lines, 10° ≤ 2θ ≤ 90°, in order of rising 2θ:
(hkl), d/Å, 2theta, I (rel.)
1 1 4, 2.013, 45.0, 1000
2 0 0, 1.425, 65.5, 49
0 2 8, 1.422, 65.6, 98
2 2 0, 1.162, 83.1, 191
1 3 4, 1.161, 83.2, 95

Cell and atoms:
```
data_Fe5Co3
_chemical_formula_sum 'Fe10 Co6'
_cell_length_a 2.850
_cell_length_b 4.021
_cell_length_c 16.100
_cell_angle_alpha 90.00
_cell_angle_beta 90.00
_cell_angle_gamma 90.00
_symmetry_space_group_name_H-M 'I m m 2'
_symmetry_Int_Tables_number 44
_symmetry_space_group_name_Hall 'I 2 -2'
loop_
_atom_site_label
_atom_site_type_symbol
_atom_site_fract_x
_atom_site_fract_y
_atom_site_fract_z
_atom_site_occupancy
Fe1 Fe 0.000 0.000 0.000 1
Fe2 Fe 0.000 0.000 0.250 1
Fe3 Fe 0.000 0.000 0.500 1
Fe4 Fe 0.000 0.500 0.375 1
Fe5 Fe 0.000 0.500 0.625 1
Co1 Co 0.000 0.000 0.750 1
Co2 Co 0.000 0.500 0.125 1
Co3 Co 0.000 0.500 0.875 1
```



[7]
Calculated PXRD pattern of FeCo for Cu Kα X-rays, from a PBE-relaxed structure.
Neutral-atom scattering factors, no anomalous dispersion.

Most intense lines, 10° ≤ 2θ ≤ 90°, in order of rising 2θ:
(hkl), d/Å, 2theta, I (rel.)
1 1 4, 2.008, 45.2, 1000
2 0 0, 1.420, 65.8, 147
2 2 0, 1.159, 83.4, 287

Cell and atoms:
```
data_FeCo
_chemical_formula_sum 'Fe8 Co8'
_cell_length_a 2.839
_cell_length_b 4.013
_cell_length_c 16.077
_cell_angle_alpha 90.00
_cell_angle_beta 90.00
_cell_angle_gamma 90.00
_symmetry_space_group_name_H-M 'I m m 2'
_symmetry_Int_Tables_number 44
_symmetry_space_group_name_Hall 'I 2 -2'
loop_
_atom_site_label
_atom_site_type_symbol
_atom_site_fract_x
_atom_site_fract_y
_atom_site_fract_z
_atom_site_occupancy
Fe1 Fe 0.000 0.000 0.000 1
Fe2 Fe 0.000 0.000 0.249 1
Fe3 Fe 0.000 0.000 0.748 1
Fe4 Fe 0.000 0.500 0.374 1
Co1 Co 0.000 0.000 0.500 1
Co2 Co 0.000 0.500 0.125 1
Co3 Co 0.000 0.500 0.624 1
Co4 Co 0.000 0.500 0.874 1
```



[8]
Calculated PXRD pattern of Fe3Co2 for Cu Kα X-rays, from a PBE-relaxed structure.
Neutral-atom scattering factors, no anomalous dispersion.

Most intense lines, 10° ≤ 2θ ≤ 90°, in order of rising 2θ:
(hkl), d/Å, 2theta, I (rel.)
1 1 5, 2.010, 45.1, 1000
0 2 0, 2.003, 45.3, 198
2 0 0, 1.423, 65.6, 59
0 2 10, 1.419, 65.8, 117
2 0 10, 1.161, 83.2, 171
2 2 0, 1.160, 83.3, 57
1 3 5, 1.158, 83.5, 114

Cell and atoms:
```
data_Fe3Co2
_chemical_formula_sum 'Fe12 Co8'
_cell_length_a 2.846
_cell_length_b 4.007
_cell_length_c 20.110
_cell_angle_alpha 90.00
_cell_angle_beta 90.00
_cell_angle_gamma 90.00
_symmetry_space_group_name_H-M 'F m m m'
_symmetry_Int_Tables_number 69
_symmetry_space_group_name_Hall '-F 2 2'
loop_
_atom_site_label
_atom_site_type_symbol
_atom_site_fract_x
_atom_site_fract_y
_atom_site_fract_z
_atom_site_occupancy
Fe1 Fe 0.000 0.000 0.000 1
Fe2 Fe 0.000 0.000 0.399 1
Co1 Co 0.000 0.000 0.200 1
```



[9]
Calculated PXRD pattern of Fe4Co3 for Cu Kα X-rays, from a PBE-relaxed structure.
Neutral-atom scattering factors, no anomalous dispersion.

Most intense lines, 10° ≤ 2θ ≤ 90°, in order of rising 2θ:
(hkl), d/Å, 2theta, I (rel.)
0 2 0, 2.017, 44.9, 203
1 1 7, 2.008, 45.2, 1000
0 2 14, 1.422, 65.6, 118
2 0 0, 1.418, 65.8, 59
1 3 7, 1.163, 83.0, 116
2 2 0, 1.160, 83.3, 58
2 0 14, 1.158, 83.5, 171

Cell and atoms:
```
data_Fe4Co3
_chemical_formula_sum 'Fe16 Co12'
_cell_length_a 2.837
_cell_length_b 4.035
_cell_length_c 28.071
_cell_angle_alpha 90.00
_cell_angle_beta 90.00
_cell_angle_gamma 90.00
_symmetry_space_group_name_H-M 'F m m m'
_symmetry_Int_Tables_number 69
_symmetry_space_group_name_Hall '-F 2 2'
loop_
_atom_site_label
_atom_site_type_symbol
_atom_site_fract_x
_atom_site_fract_y
_atom_site_fract_z
_atom_site_occupancy
Fe1 Fe 0.000 0.000 0.071 1
Fe2 Fe 0.000 0.000 0.356 1
Co1 Co 0.000 0.000 0.214 1
Co2 Co 0.000 0.000 0.500 1
```



[10]
Calculated PXRD pattern of FeCo for Cu Kα X-rays, from a PBE-relaxed structure.
Neutral-atom scattering factors, no anomalous dispersion.

Most intense lines, 10° ≤ 2θ ≤ 90°, in order of rising 2θ:
(hkl), d/Å, 2theta, I (rel.)
1 0 2, 2.012, 45.1, 1000
0 2 0, 2.004, 45.2, 987
1 2 2, 1.420, 65.8, 291
0 1 4, 1.163, 83.0, 144
1 3 -2, 1.159, 83.4, 283
2 3 0, 1.157, 83.5, 141

Cell and atoms:
```
data_FeCo
_chemical_formula_sum 'Fe4 Co4'
_cell_length_a 4.701
_cell_length_b 4.009
_cell_length_c 4.938
_cell_angle_alpha 90.00
_cell_angle_beta 100.04
_cell_angle_gamma 90.00
_symmetry_space_group_name_H-M 'P 1 m 1'
_symmetry_Int_Tables_number 6
_symmetry_space_group_name_Hall 'P -2y'
loop_
_atom_site_label
_atom_site_type_symbol
_atom_site_fract_x
_atom_site_fract_y
_atom_site_fract_z
_atom_site_occupancy
Fe1 Fe 0.000 0.000 0.000 1
Fe2 Fe 0.003 0.000 0.499 1
Fe3 Fe 0.500 0.000 0.246 1
Fe4 Fe 0.746 0.500 0.625 1
Co1 Co 0.239 0.500 0.875 1
Co2 Co 0.253 0.500 0.377 1
Co3 Co 0.502 0.000 0.748 1
Co4 Co 0.746 0.500 0.124 1
```



[11]
Calculated PXRD pattern of Fe5Co3 for Cu Kα X-rays, from a PBE-relaxed structure.
Neutral-atom scattering factors, no anomalous dispersion.

Most intense lines, 10° ≤ 2θ ≤ 90°, in order of rising 2θ:
(hkl), d/Å, 2theta, I (rel.)
0 1 2, 2.019, 44.9, 677
2 0 -2, 2.015, 45.0, 336
2 1 0, 2.009, 45.1, 1000
2 0 2, 1.427, 65.4, 99
2 2 -2, 1.422, 65.7, 197
0 0 4, 1.168, 82.6, 49
2 1 -4, 1.166, 82.8, 97
2 2 2, 1.163, 83.0, 96
0 3 2, 1.161, 83.2, 239
2 3 0, 1.160, 83.3, 95

Cell and atoms:
```
data_Fe5Co3
_chemical_formula_sum 'Fe5 Co3'
_cell_length_a 4.923
_cell_length_b 4.015
_cell_length_c 4.953
_cell_angle_alpha 90.00
_cell_angle_beta 109.38
_cell_angle_gamma 90.00
_symmetry_space_group_name_H-M 'P 1 m 1'
_symmetry_Int_Tables_number 6
_symmetry_space_group_name_Hall 'P -2y'
loop_
_atom_site_label
_atom_site_type_symbol
_atom_site_fract_x
_atom_site_fract_y
_atom_site_fract_z
_atom_site_occupancy
Fe1 Fe 0.000 0.000 0.000 1
Fe2 Fe 0.001 0.000 0.501 1
Fe3 Fe 0.499 0.000 0.498 1
Fe4 Fe 0.744 0.500 0.245 1
Fe5 Fe 0.747 0.500 0.746 1
Co1 Co 0.245 0.500 0.746 1
Co2 Co 0.247 0.500 0.246 1
Co3 Co 0.500 0.000 0.000 1
```



[12]
Calculated PXRD pattern of Fe3Co for Cu Kα X-rays, from a PBE-relaxed structure.
Neutral-atom scattering factors, no anomalous dispersion.

Most intense lines, 10° ≤ 2θ ≤ 90°, in order of rising 2θ:
(hkl), d/Å, 2theta, I (rel.)
0 0 4, 2.022, 44.8, 203
1 1 2, 2.012, 45.0, 1000
0 2 4, 1.428, 65.4, 119
2 0 0, 1.418, 65.9, 58
1 1 6, 1.166, 82.8, 115
1 3 2, 1.163, 83.1, 115
2 0 4, 1.161, 83.2, 57
2 2 0, 1.159, 83.4, 57

Cell and atoms:
```
data_Fe3Co
_chemical_formula_sum 'Fe6 Co2'
_cell_length_a 2.835
_cell_length_b 4.030
_cell_length_c 8.090
_cell_angle_alpha 90.00
_cell_angle_beta 90.00
_cell_angle_gamma 90.00
_symmetry_space_group_name_H-M 'P m m a'
_symmetry_Int_Tables_number 51
_symmetry_space_group_name_Hall '-P 2a 2a'
loop_
_atom_site_label
_atom_site_type_symbol
_atom_site_fract_x
_atom_site_fract_y
_atom_site_fract_z
_atom_site_occupancy
Fe1 Fe 0.250 0.000 0.125 1
Fe2 Fe 0.250 0.000 0.625 1
Fe3 Fe 0.250 0.500 0.373 1
Co1 Co 0.250 0.500 0.875 1
```